This entry pairs a crystal structure of Fe4O5F3 with its simulated powder XRD pattern. Radiation: Cu Kα. Structure: a crystal structure in Alexandria, relaxed with GGA+U.

Main lines, low angle first (2θ = 10–90°):
2θ 26.72, rel. 100; 2θ 35.09, rel. 52; 2θ 38.15, rel. 8; 2θ 40.11, rel. 17; 2θ 42.86, rel. 5; 2θ 52.80, rel. 56; 2θ 55.06, rel. 15; 2θ 60.89, rel. 9; 2θ 66.98, rel. 19; 2θ 67.69, rel. 11

Crystal structure
a b c (Å): 6.0856 4.7164 9.9132
angles (deg): 90.00 107.81 90.00
Space group P2_1 (No. 4)
Symmetry-distinct sites (fractional):
Fe1 0.0592 0.0000 0.3776 [2 per cell]
Fe2 0.1994 0.4888 0.1480 [2 per cell]
Fe3 0.3226 0.0565 0.8862 [2 per cell]
Fe4 0.4388 0.4802 0.6331 [2 per cell]
O1 0.0172 0.2024 0.7770 [2 per cell]
O2 0.1401 0.3076 0.5293 [2 per cell]
O3 0.2675 0.1836 0.2899 [2 per cell]
O4 0.3917 0.3306 0.0368 [2 per cell]
O5 0.4851 0.7032 0.2239 [2 per cell]
F1 0.1087 0.8156 0.9716 [2 per cell]
F2 0.2387 0.7080 0.7245 [2 per cell]
F3 0.3655 0.7921 0.4797 [2 per cell]